Calculated powder diffractogram
Compound: TiV6Mo12
Radiation: Cu Kα X-rays
Structure: the PBE geometry in Alexandria

Atomic structure:
Lattice parameters (Å, degrees): 10.9052 10.9052 9.3065 90.00 90.00 120.00
Space group R-3m (No. 166, hexagonal axes)
One atom of each set of equivalent atoms:
Ti 0.0000 0.0000 0.0000 (multiplicity 3)
V 0.0269 0.5134 0.7041 (multiplicity 18)
Mo 0.0000 0.3630 0.5000 (multiplicity 18)
Mo 0.0827 0.1653 0.3700 (multiplicity 18)

Main lines, by intensity (2θ = 5–70°):
h k l  d (Å)  intensity
1 3 1  2.521  1000
3 0 3  2.210  880
1 1 3  2.696  456
0 4 2  2.106  452
4 1 0  2.061  264
1 0 1  6.629  260
5 0 2  1.750  246
3 1 2  2.283  206
1 0 4  2.259  168
0 3 6  1.391  159